La2In5Sn: theoretical powder diffraction line list (Cu Kα), based on the PBE geometry in Alexandria.
Peak positions follow from Bragg's law for the DFT cell and can differ from measured ones.

Atomic structure:
```
data_La2In5Sn
_symmetry_space_group_name_H-M 'P b a m'
_symmetry_Int_Tables_number 55
_symmetry_space_group_name_Hall '-P 2 2ab'
_cell_length_a 6.840
_cell_length_b 13.600
_cell_length_c 4.720
_cell_angle_alpha 90.00
_cell_angle_beta 90.00
_cell_angle_gamma 90.00
loop_
_atom_site_label
_atom_site_type_symbol
_atom_site_fract_x
_atom_site_fract_y
_atom_site_fract_z
La1 La 0.239 0.122 0.000
In1 In 0.000 0.500 0.500
In2 In 0.010 0.750 0.500
In3 In 0.238 0.372 0.000
Sn1 Sn 0.000 0.000 0.500
```

Largest 6 diffraction maxima, sorted by position, 2θ = 10–90°:
(2 0 1), 2θ = 32.33°, d = 2.769 Å, I = 100; (0 4 1), 2θ = 32.45°, d = 2.759 Å, I = 100; (2 4 0), 2θ = 37.29°, d = 2.411 Å, I = 68; (0 0 2), 2θ = 38.13°, d = 2.360 Å, I = 32; (2 4 2), 2θ = 54.40°, d = 1.687 Å, I = 45; (2 8 1), 2θ = 64.30°, d = 1.449 Å, I = 27